(1)
Diffraction record for PmPdSe. The X-ray diffraction stick pattern is simulated, not measured: it uses a structure optimized by DFT (GGA-PBE) and Cu Kα (weighted mean of Kα1 and Kα2).

Atomic structure:
a = 5.7113 Å, b = 6.8052 Å, c = 7.5443 Å
α = 90.00°, β = 111.16°, γ = 90.00°
Fractional positions:
Pm1 0.1844 0.1846 0.3494
Pm2 0.1844 0.3154 0.8494
Pm3 0.8156 0.6846 0.1506
Pm4 0.8156 0.8154 0.6506
Pd1 0.2160 0.6034 0.5305
Pd2 0.2160 0.8966 0.0305
Pd3 0.7840 0.1034 0.9695
Pd4 0.7840 0.3966 0.4695
Se1 0.3403 0.5535 0.2022
Se2 0.3403 0.9465 0.7022
Se3 0.6597 0.0535 0.2978
Se4 0.6597 0.4465 0.7978

Main lines, most intense first (10 to 90 degrees two-theta):
two_theta  d/Å  intensity
28.6  3.125  1000
43.3  2.088  677
36.7  2.452  675
31.3  2.856  640
33.7  2.663  626
36.4  2.470  564
40.7  2.217  481
29.2  3.063  448
36.0  2.491  378
34.1  2.630  370
47.1  1.928  305
37.8  2.382  280



(2)
Diffraction record for Pm5PdSe4. The X-ray diffraction stick pattern is simulated, not measured: it uses a structure optimized by DFT (GGA-PBE) and Cu Kα (weighted mean of Kα1 and Kα2).

Atomic structure:
a = 17.7825 Å, b = 17.7825 Å, c = 17.7825 Å
α = 13.43°, β = 13.43°, γ = 13.43°
Fractional positions:
Pm1 0.0000 0.0000 0.0000
Pm2 0.1987 0.1987 0.1987
Pm3 0.3989 0.3989 0.3989
Pm4 0.6011 0.6011 0.6011
Pm5 0.8013 0.8013 0.8013
Pd1 0.5000 0.5000 0.5000
Se1 0.0988 0.0988 0.0988
Se2 0.3005 0.3005 0.3005
Se3 0.6995 0.6995 0.6995
Se4 0.9012 0.9012 0.9012

Main lines, most intense first (10 to 90 degrees two-theta):
two_theta  d/Å  intensity
30.0  2.976  1000
42.4  2.131  383
43.5  2.079  361
53.8  1.704  193
70.0  1.344  169
71.6  1.318  163
79.2  1.210  123
62.4  1.488  121
26.1  3.409  97
51.9  1.762  69
76.8  1.241  63
79.9  1.200  63



(3)
Diffraction record for Pm3SiPd2. The X-ray diffraction stick pattern is simulated, not measured: it uses a structure optimized by DFT (GGA-PBE) and Cu Kα (weighted mean of Kα1 and Kα2).

Atomic structure:
a = 11.9561 Å, b = 4.1733 Å, c = 11.9518 Å
α = 90.00°, β = 90.00°, γ = 90.00°
Fractional positions:
Pm1 0.0618 0.2500 0.1218
Pm2 0.1184 0.7500 0.5563
Pm3 0.2000 0.2500 0.8085
Pm4 0.3000 0.7500 0.3085
Pm5 0.3816 0.2500 0.0563
Pm6 0.4382 0.7500 0.6218
Pm7 0.5618 0.2500 0.3782
Pm8 0.6184 0.7500 0.9437
Pm9 0.7000 0.2500 0.6915
Pm10 0.8000 0.7500 0.1915
Pm11 0.8816 0.2500 0.4437
Pm12 0.9382 0.7500 0.8782
Si1 0.1228 0.2500 0.3684
Si2 0.3772 0.7500 0.8684
Si3 0.6228 0.2500 0.1316
Si4 0.8772 0.7500 0.6316
Pd1 0.0251 0.7500 0.3089
Pd2 0.1871 0.7500 0.9855
Pd3 0.3129 0.2500 0.4855
Pd4 0.4749 0.2500 0.8089
Pd5 0.5251 0.7500 0.1911
Pd6 0.6871 0.7500 0.5145
Pd7 0.8129 0.2500 0.0145
Pd8 0.9749 0.2500 0.6911

Main lines, most intense first (10 to 90 degrees two-theta):
two_theta  d/Å  intensity
31.9  2.802  1000
31.0  2.882  942
30.8  2.899  825
30.1  2.970  644
34.6  2.596  643
40.1  2.251  634
43.4  2.087  551
54.2  1.693  428
26.9  3.316  421
37.8  2.381  392
33.5  2.673  356
44.2  2.050  332



(4)
Diffraction record for Pm2SiPd6. The X-ray diffraction stick pattern is simulated, not measured: it uses a structure optimized by DFT (GGA-PBE) and Cu Kα (weighted mean of Kα1 and Kα2).

Atomic structure:
a = 5.7708 Å, b = 5.7708 Å, c = 5.7472 Å
α = 90.00°, β = 90.00°, γ = 120.00°
Fractional positions:
Pm1 0.3333 0.6667 0.1842
Pm2 0.6667 0.3333 0.8158
Si1 0.0000 0.0000 0.0000
Pd1 0.1702 0.3403 0.6999
Pd2 0.1702 0.8298 0.6999
Pd3 0.3403 0.1702 0.3001
Pd4 0.6597 0.8298 0.6999
Pd5 0.8298 0.1702 0.3001
Pd6 0.8298 0.6597 0.3001

Main lines, most intense first (10 to 90 degrees two-theta):
two_theta  d/Å  intensity
39.3  2.292  1000
31.1  2.874  258
35.9  2.499  212
36.1  2.491  204
64.6  1.443  180
48.3  1.886  160
78.3  1.221  129
73.4  1.289  125
34.8  2.579  108
57.8  1.596  98
58.5  1.578  86
60.9  1.520  81



(5)
Diffraction record for Pm6Si2Pd. The X-ray diffraction stick pattern is simulated, not measured: it uses a structure optimized by DFT (GGA-PBE) and Cu Kα (weighted mean of Kα1 and Kα2).

Atomic structure:
a = 6.3611 Å, b = 8.0885 Å, c = 11.8305 Å
α = 90.00°, β = 122.48°, γ = 90.00°
Fractional positions:
Pm1 0.0862 0.1655 0.4407
Pm2 0.0862 0.3345 0.9407
Pm3 0.3094 0.6830 0.4356
Pm4 0.3094 0.8170 0.9356
Pm5 0.4015 0.0396 0.2632
Pm6 0.4015 0.4604 0.7632
Pm7 0.5985 0.5396 0.2368
Pm8 0.5985 0.9604 0.7368
Pm9 0.6906 0.1830 0.0644
Pm10 0.6906 0.3170 0.5644
Pm11 0.9138 0.6655 0.0593
Pm12 0.9138 0.8345 0.5593
Si1 0.1735 0.1202 0.7507
Si2 0.1735 0.3798 0.2507
Si3 0.8265 0.6202 0.7493
Si4 0.8265 0.8798 0.2493
Pd1 0.0000 0.0000 0.0000
Pd2 0.0000 0.5000 0.5000

Main lines, most intense first (10 to 90 degrees two-theta):
two_theta  d/Å  intensity
30.3  2.949  1000
31.5  2.837  914
30.2  2.960  806
31.8  2.817  707
36.2  2.482  703
32.3  2.770  699
27.6  3.229  695
52.3  1.749  556
28.4  3.142  470
48.0  1.897  394
35.3  2.546  382
23.7  3.748  328



(6)
Diffraction record for Pm4Si5Pd3. The X-ray diffraction stick pattern is simulated, not measured: it uses a structure optimized by DFT (GGA-PBE) and Cu Kα (weighted mean of Kα1 and Kα2).

Atomic structure:
a = 6.0937 Å, b = 6.0937 Å, c = 10.8653 Å
α = 116.56°, β = 116.56°, γ = 43.94°
Fractional positions:
Pm1 0.1396 0.1396 0.4961
Pm2 0.1640 0.1640 0.8457
Pm3 0.8360 0.8360 0.1543
Pm4 0.8604 0.8604 0.5039
Si1 0.0000 0.0000 0.0000
Si2 0.4214 0.4214 0.7399
Si3 0.4288 0.4288 0.3643
Si4 0.5712 0.5712 0.6357
Si5 0.5786 0.5786 0.2601
Pd1 0.1776 0.1776 0.2436
Pd2 0.5000 0.5000 0.0000
Pd3 0.8224 0.8224 0.7564

Main lines, most intense first (10 to 90 degrees two-theta):
two_theta  d/Å  intensity
33.5  2.674  1000
31.9  2.807  512
39.5  2.280  349
34.4  2.607  347
21.5  4.142  187
52.7  1.736  180
41.8  2.159  157
31.7  2.820  148
28.1  3.173  129
57.9  1.593  129
40.5  2.228  126
58.9  1.568  113



(7)
Diffraction record for Pm12Si7Pd. The X-ray diffraction stick pattern is simulated, not measured: it uses a structure optimized by DFT (GGA-PBE) and Cu Kα (weighted mean of Kα1 and Kα2).

Atomic structure:
a = 8.9225 Å, b = 8.9225 Å, c = 8.9225 Å
α = 109.28°, β = 109.28°, γ = 109.28°
Fractional positions:
Pm1 0.0954 0.4014 0.3161
Pm2 0.1299 0.2723 0.6543
Pm3 0.2723 0.6543 0.1299
Pm4 0.3161 0.0954 0.4014
Pm5 0.3457 0.8701 0.7277
Pm6 0.4014 0.3161 0.0954
Pm7 0.5986 0.6839 0.9046
Pm8 0.6543 0.1299 0.2723
Pm9 0.6839 0.9046 0.5986
Pm10 0.7277 0.3457 0.8701
Pm11 0.8701 0.7277 0.3457
Pm12 0.9046 0.5986 0.6839
Si1 0.0229 0.2539 0.9316
Si2 0.0684 0.9771 0.7461
Si3 0.2539 0.9316 0.0229
Si4 0.5000 0.5000 0.5000
Si5 0.7461 0.0684 0.9771
Si6 0.9316 0.0229 0.2539
Si7 0.9771 0.7461 0.0684
Pd1 0.0000 0.0000 0.0000

Main lines, most intense first (10 to 90 degrees two-theta):
two_theta  d/Å  intensity
27.4  3.259  1000
32.4  2.761  617
32.5  2.751  439
27.2  3.273  319
44.9  2.018  263
29.8  3.003  240
30.0  2.974  180
54.8  1.675  174
36.8  2.443  165
38.9  2.316  153
44.7  2.028  142
48.4  1.882  136



(8)
Diffraction record for PmSi2Pd4. The X-ray diffraction stick pattern is simulated, not measured: it uses a structure optimized by DFT (GGA-PBE) and Cu Kα (weighted mean of Kα1 and Kα2).

Atomic structure:
a = 7.9233 Å, b = 7.9233 Å, c = 3.7703 Å
α = 90.00°, β = 90.00°, γ = 90.00°
Fractional positions:
Pm1 0.0000 0.0000 0.0000
Pm2 0.5000 0.5000 0.5000
Si1 0.2248 0.2248 0.5000
Si2 0.2752 0.7248 0.0000
Si3 0.7248 0.2752 0.0000
Si4 0.7752 0.7752 0.5000
Pd1 0.0778 0.6757 0.5000
Pd2 0.1757 0.4222 0.0000
Pd3 0.3243 0.9222 0.5000
Pd4 0.4222 0.1757 0.0000
Pd5 0.5778 0.8243 0.0000
Pd6 0.6757 0.0778 0.5000
Pd7 0.8243 0.5778 0.0000
Pd8 0.9222 0.3243 0.5000

Main lines, most intense first (10 to 90 degrees two-theta):
two_theta  d/Å  intensity
34.7  2.582  1000
35.8  2.506  452
40.1  2.249  277
43.4  2.087  257
63.7  1.461  253
47.3  1.922  189
48.3  1.885  189
61.6  1.506  185
28.5  3.128  126
69.9  1.346  115
41.1  2.198  105
81.2  1.184  85



(9)
Diffraction record for Pm7Si2Pd2. The X-ray diffraction stick pattern is simulated, not measured: it uses a structure optimized by DFT (GGA-PBE) and Cu Kα (weighted mean of Kα1 and Kα2).

Atomic structure:
a = 6.8198 Å, b = 6.8198 Å, c = 7.0596 Å
α = 90.00°, β = 90.00°, γ = 108.97°
Fractional positions:
Pm1 0.0000 0.0000 0.0000
Pm2 0.0000 0.5000 0.2763
Pm3 0.0000 0.5000 0.7237
Pm4 0.5000 0.0000 0.2763
Pm5 0.5000 0.0000 0.7237
Pm6 0.5000 0.5000 0.2615
Pm7 0.5000 0.5000 0.7385
Si1 0.1568 0.1568 0.5000
Si2 0.8432 0.8432 0.5000
Pd1 0.2874 0.7126 0.0000
Pd2 0.7126 0.2874 0.0000

Main lines, most intense first (10 to 90 degrees two-theta):
two_theta  d/Å  intensity
37.8  2.381  1000
27.7  3.225  899
32.3  2.776  676
37.0  2.431  471
28.8  3.096  432
25.8  3.455  351
34.0  2.635  293
45.8  1.981  252
61.2  1.515  247
57.1  1.612  229
16.0  5.551  199
54.8  1.677  194